1.
This entry pairs a crystal structure of Cd4BiSb with its simulated X-ray powder pattern. Radiation: a wavelength of 1.5418 Å. Structure: a structure optimized by DFT (PBE).

Lattice parameters (Å, degrees): 8.0077 6.8822 6.6489 90.00 101.89 90.00
Atoms (fractional coordinates):
Cd: 0.0000 0.2137 0.0000
Cd: 0.0000 0.7863 0.0000
Cd: 0.0061 0.2859 0.5136
Cd: 0.0061 0.7141 0.5136
Cd: 0.5000 0.2863 0.0000
Cd: 0.5000 0.7137 0.0000
Cd: 0.5061 0.2141 0.5136
Cd: 0.5061 0.7859 0.5136
Bi: 0.2547 0.5000 0.2568
Bi: 0.7547 0.0000 0.2568
Sb: 0.2563 0.0000 0.7563
Sb: 0.7563 0.5000 0.7563

Principal peaks in the range 15 to 90 degrees two-theta, in order of falling intensity:
| 2θ/deg | I/Imax |
| --- | --- |
| 34.7 | 100 |
| 23.4 | 92 |
| 38.1 | 77 |
| 31.9 | 70 |
| 39.5 | 39 |
| 42.6 | 39 |
| 20.4 | 34 |
| 36.7 | 30 |
| 46.3 | 25 |
| 56.3 | 24 |


2.
This entry pairs a crystal structure of Cd5Bi2Sb2 with its simulated X-ray powder pattern. Radiation: a wavelength of 1.5418 Å. Structure: a structure optimized by DFT (PBE).

Lattice parameters (Å, degrees): 11.9179 11.9179 11.9179 50.75 142.17 147.44
Atoms (fractional coordinates):
Cd: 0.1074 0.3571 0.0167
Cd: 0.1074 0.5908 0.2503
Cd: 0.1625 0.0538 0.2163
Cd: 0.1625 0.4462 0.6087
Cd: 0.3405 0.0908 0.9833
Cd: 0.3405 0.8571 0.7497
Cd: 0.4710 0.4316 0.5394
Cd: 0.8375 0.5538 0.3913
Cd: 0.8375 0.9462 0.7837
Cd: 0.8922 0.9316 0.4606
Bi: 0.6681 0.2990 0.6258
Bi: 0.6681 0.5424 0.8692
Bi: 0.6732 0.0424 0.3742
Bi: 0.6732 0.7990 0.1308
Sb: 0.0530 0.7599 0.7931
Sb: 0.3723 0.3723 0.0000
Sb: 0.3723 0.8723 0.5000
Sb: 0.9668 0.2599 0.2069

Principal peaks in the range 15 to 90 degrees two-theta, in order of falling intensity:
| 2θ/deg | I/Imax |
| --- | --- |
| 39.4 | 100 |
| 31.5 | 97 |
| 41.1 | 94 |
| 24.2 | 92 |
| 23.6 | 70 |
| 31.7 | 56 |
| 33.3 | 53 |
| 23.0 | 46 |
| 43.2 | 44 |
| 42.2 | 44 |


3.
This entry pairs a crystal structure of Sr2Cd2Bi2Sb with its simulated X-ray powder pattern. Radiation: a wavelength of 1.5418 Å. Structure: a structure optimized by DFT (PBE).

Lattice parameters (Å, degrees): 4.7848 6.5820 8.5137 105.56 97.47 101.77
Atoms (fractional coordinates):
Sr: 0.0869 0.0651 0.2757
Sr: 0.9131 0.9349 0.7243
Cd: 0.3632 0.5188 0.8440
Cd: 0.6368 0.4812 0.1560
Bi: 0.1987 0.6245 0.4051
Bi: 0.8013 0.3755 0.5949
Sb: 0.5000 0.0000 0.0000

Principal peaks in the range 15 to 90 degrees two-theta, in order of falling intensity:
| 2θ/deg | I/Imax |
| --- | --- |
| 26.4 | 100 |
| 30.3 | 93 |
| 24.1 | 85 |
| 34.4 | 67 |
| 30.8 | 56 |
| 38.6 | 52 |
| 42.9 | 51 |
| 27.8 | 50 |
| 36.2 | 38 |
| 29.1 | 34 |